[1]
Structure and theoretical XRD peak list of Pu3F8 (a GGA-PBE-relaxed structure; a wavelength of 1.5418 Å).
Neutral-atom scattering factors, no anomalous dispersion.

Main lines, in order of falling intensity (2θ from 10° to 90°):
hkl 1 1 1, 26.85 deg, I 100; hkl 2 2 0, 44.57 deg, I 58; hkl 3 1 1, 52.80 deg, I 49; hkl 1 0 0, 15.41 deg, I 34; hkl 2 0 0, 31.11 deg, I 31; hkl 1 1 0, 21.86 deg, I 27; hkl 3 3 1, 71.52 deg, I 20; hkl 4 2 2, 82.11 deg, I 19; hkl 3 3 3, 88.31 deg, I 16; hkl 2 1 0, 34.89 deg, I 15

Crystal structure
abc: 5.750 5.750 5.750
angles: 90.00 90.00 90.00
Space group Pm-3m (No. 221)
One atom of each set of equivalent atoms:
Pu  0.000  0.000  0.500 x3
F  0.237  0.237  0.237 x8

[2]
Structure and theoretical XRD peak list of ZnRe2 (a GGA-PBE-relaxed structure; a wavelength of 1.5418 Å).
Neutral-atom scattering factors, no anomalous dispersion.

Main lines, in order of falling intensity (2θ from 10° to 90°):
hkl 1 1 0, 40.86 deg, I 100; hkl 1 0 2, 39.62 deg, I 62; hkl 1 1 2, 52.56 deg, I 33; hkl 1 0 0, 23.25 deg, I 28; hkl 0 0 2, 31.62 deg, I 22; hkl 1 0 3, 54.21 deg, I 21; hkl 2 0 2, 58.22 deg, I 20; hkl 2 1 2, 73.56 deg, I 20; hkl 3 0 0, 74.40 deg, I 17; hkl 1 0 1, 28.16 deg, I 17

Crystal structure
abc: 4.4172 4.4172 5.6592
angles: 90.00 90.00 120.00
Space group P6_3/mmc (No. 194)
One atom of each set of equivalent atoms:
Zn  0.0000  0.0000  0.2500 x2
Re  0.3333  0.6667  0.0389 x4

[3]
Structure and theoretical XRD peak list of Sm2Al3Zn6 (a GGA-PBE-relaxed structure; a wavelength of 1.5418 Å).
Neutral-atom scattering factors, no anomalous dispersion.

Main lines, in order of falling intensity (2θ from 10° to 90°):
hkl 2 2 1, 32.98 deg, I 100; hkl 2 0 1, 28.15 deg, I 71; hkl 1 3 1, 34.94 deg, I 55; hkl 3 3 0, 36.87 deg, I 42; hkl 0 0 2, 44.69 deg, I 36; hkl 0 2 1, 27.77 deg, I 35; hkl 2 4 0, 38.51 deg, I 25; hkl 4 2 0, 39.37 deg, I 23; hkl 2 2 0, 24.34 deg, I 23; hkl 3 3 2, 59.27 deg, I 20

Crystal structure
abc: 10.166 10.531 4.056
angles: 90.00 90.00 90.00
Space group Cmmm (No. 65)
One atom of each set of equivalent atoms:
Sm  0.000  0.219  0.000 x4
Al  0.000  0.500  0.500 x2
Al  0.204  0.500  0.000 x4
Zn  0.115  0.000  0.500 x4
Zn  0.194  0.347  0.500 x8

[4]
Structure and theoretical XRD peak list of Ce5SiRu2 (a GGA-PBE-relaxed structure; a wavelength of 1.5418 Å).
Neutral-atom scattering factors, no anomalous dispersion.

Main lines, in order of falling intensity (2θ from 10° to 90°):
hkl 1 3 1, 32.48 deg, I 100; hkl 1 3 3, 36.51 deg, I 94; hkl 2 0 0, 40.68 deg, I 48; hkl 0 0 6, 34.80 deg, I 45; hkl 0 0 2, 11.44 deg, I 25; hkl 2 0 6, 54.59 deg, I 24; hkl 1 1 3, 27.78 deg, I 23; hkl 1 3 7, 52.77 deg, I 22; hkl 0 2 5, 33.35 deg, I 20; hkl 1 3 5, 43.59 deg, I 17

Crystal structure
abc: 4.436 10.838 15.466
angles: 90.00 90.00 90.00
Space group Cmcm (No. 63)
One atom of each set of equivalent atoms:
Ce  0.000  0.077  0.113 x8
Ce  0.000  0.218  0.750 x4
Ce  0.000  0.400  0.075 x8
Si  0.000  0.496  0.250 x4
Ru  0.000  0.253  0.578 x8

[5]
Structure and theoretical XRD peak list of CdSi2Pt4 (a GGA-PBE-relaxed structure; a wavelength of 1.5418 Å).
Neutral-atom scattering factors, no anomalous dispersion.

Main lines, in order of falling intensity (2θ from 10° to 90°):
hkl 2 3 1, 37.67 deg, I 100; hkl 0 5 1, 39.55 deg, I 66; hkl 2 2 0, 29.55 deg, I 62; hkl 2 0 2, 42.54 deg, I 41; hkl 0 2 2, 36.23 deg, I 36; hkl 2 1 1, 31.60 deg, I 29; hkl 2 5 1, 47.85 deg, I 22; hkl 4 0 0, 53.12 deg, I 22; hkl 1 1 2, 36.47 deg, I 22; hkl 4 5 1, 68.21 deg, I 21

Crystal structure
abc: 6.897 12.569 5.396
angles: 90.00 90.00 90.00
Space group Ima2 (No. 46)
One atom of each set of equivalent atoms:
Cd  0.250  0.130  0.000 x4
Si  0.000  0.000  0.351 x4
Si  0.250  0.711  0.281 x4
Pt  0.028  0.188  0.481 x8
Pt  0.250  0.523  0.153 x4
Pt  0.250  0.596  0.643 x4

[6]
Structure and theoretical XRD peak list of Ho3Sc2Ag3 (a GGA-PBE-relaxed structure; a wavelength of 1.5418 Å).
Neutral-atom scattering factors, no anomalous dispersion.

Main lines, in order of falling intensity (2θ from 10° to 90°):
hkl 0 2 0, 35.13 deg, I 100; hkl 0 0 8, 34.06 deg, I 21; hkl 1 3 4, 62.96 deg, I 14; hkl 0 2 8, 49.68 deg, I 14; hkl 1 1 12, 61.67 deg, I 14; hkl 2 2 8, 74.31 deg, I 8; hkl 2 2 0, 63.77 deg, I 7; hkl 2 0 8, 63.13 deg, I 7; hkl 2 0 0, 51.43 deg, I 7; hkl 3 1 4, 86.29 deg, I 6

Crystal structure
abc: 3.554 5.118 21.061
angles: 90.00 90.00 90.00
Space group Immm (No. 71)
One atom of each set of equivalent atoms:
Ho  0.000  0.000  0.000 x2
Ho  0.000  0.500  0.124 x4
Sc  0.000  0.000  0.234 x4
Ag  0.000  0.000  0.500 x2
Ag  0.000  0.500  0.377 x4

[7]
Structure and theoretical XRD peak list of Yb3Ge13Ru4 (a GGA-PBE-relaxed structure; a wavelength of 1.5418 Å).
Neutral-atom scattering factors, no anomalous dispersion.

Main lines, in order of falling intensity (2θ from 10° to 90°):
hkl 3 2 0, 35.74 deg, I 100; hkl 3 2 1, 37.14 deg, I 38; hkl 4 0 0, 39.80 deg, I 35; hkl 2 2 2, 34.29 deg, I 23; hkl 6 2 2, 68.74 deg, I 20; hkl 2 1 0, 21.94 deg, I 20; hkl 4 2 2, 49.28 deg, I 18; hkl 5 3 2, 63.28 deg, I 15; hkl 4 3 3, 59.50 deg, I 13; hkl 4 3 2, 54.55 deg, I 12

Crystal structure
abc: 9.059 9.059 9.059
angles: 90.00 90.00 90.00
Space group Pm-3n (No. 223)
One atom of each set of equivalent atoms:
Yb  0.000  0.250  0.500 x6
Ge  0.000  0.000  0.000 x2
Ge  0.000  0.298  0.147 x24
Ru  0.250  0.250  0.250 x8